[1]
Simulated X-ray diffraction stick pattern of Ti2Al3Mo for λ = 1.5418 Å (Cu Kα), from a cell relaxed with GGA-PBE.
No peak broadening, texture or thermal motion is included.

Structure:
a = 4.0587 Å, b = 11.0473 Å, c = 4.2145 Å
α = 90.00°, β = 90.00°, γ = 90.00°
Space group Cmmm (No. 65)
Unique sites:
Ti 0.0000 0.1616 0.0000 x4
Al 0.0000 0.0000 0.5000 x2
Al 0.0000 0.3352 0.5000 x4
Mo 0.0000 0.5000 0.0000 x2

Most intense lines, 10° ≤ 2θ ≤ 90°, low angle first:
| Position (°2θ) | d (Å) | Rel. int. | hkl |
| --- | --- | --- | --- |
| 16.05 | 5.524 | 10 | 0 2 0 |
| 21.08 | 4.214 | 22 | 0 0 1 |
| 32.84 | 2.727 | 14 | 1 3 0 |
| 39.35 | 2.290 | 100 | 1 3 1 |
| 42.92 | 2.107 | 19 | 0 0 2 |
| 44.65 | 2.029 | 17 | 2 0 0 |
| 49.50 | 1.842 | 14 | 0 6 0 |
| 63.66 | 1.462 | 11 | 2 0 2 |
| 76.24 | 1.249 | 13 | 1 3 3 |
| 78.70 | 1.216 | 12 | 3 3 1 |



[2]
Simulated X-ray diffraction stick pattern of Pr2TmBr2N2 for λ = 1.5418 Å (Cu Kα), from a cell relaxed with GGA-PBE.
No peak broadening, texture or thermal motion is included.

Structure:
a = 4.4505 Å, b = 4.4505 Å, c = 16.9905 Å
α = 90.00°, β = 90.00°, γ = 90.00°
Space group I4/mmm (No. 139)
Unique sites:
Pr 0.0000 0.0000 0.0883 x4
Tm 0.0000 0.0000 0.5000 x2
Br 0.0000 0.0000 0.3276 x4
N 0.0000 0.5000 0.0000 x4

Most intense lines, 10° ≤ 2θ ≤ 90°, low angle first:
| Position (°2θ) | d (Å) | Rel. int. | hkl |
| --- | --- | --- | --- |
| 10.41 | 8.495 | 70 | 0 0 2 |
| 28.36 | 3.147 | 89 | 1 1 0 |
| 33.17 | 2.701 | 100 | 1 0 5 |
| 40.54 | 2.225 | 41 | 2 0 0 |
| 42.42 | 2.131 | 31 | 1 0 7 |
| 53.34 | 1.717 | 52 | 2 1 5 |
| 58.67 | 1.573 | 13 | 2 2 0 |
| 60.12 | 1.539 | 22 | 2 1 7 |
| 66.43 | 1.407 | 16 | 3 1 0 |
| 83.29 | 1.160 | 14 | 3 2 5 |



[3]
Simulated X-ray diffraction stick pattern of Zn2GaCu3 for λ = 1.5418 Å (Cu Kα), from a cell relaxed with GGA-PBE.
No peak broadening, texture or thermal motion is included.

Structure:
a = 4.0386 Å, b = 12.2218 Å, c = 3.2240 Å
α = 90.00°, β = 90.00°, γ = 90.00°
Space group Cmmm (No. 65)
Unique sites:
Zn 0.0000 0.1685 0.0000 x4
Ga 0.0000 0.5000 0.0000 x2
Cu 0.0000 0.0000 0.5000 x2
Cu 0.0000 0.3339 0.5000 x4

Most intense lines, 10° ≤ 2θ ≤ 90°, low angle first:
| Position (°2θ) | d (Å) | Rel. int. | hkl |
| --- | --- | --- | --- |
| 42.17 | 2.143 | 100 | 1 3 1 |
| 44.48 | 2.037 | 21 | 0 6 0 |
| 44.89 | 2.019 | 21 | 2 0 0 |
| 57.14 | 1.612 | 10 | 0 0 2 |
| 65.04 | 1.434 | 13 | 2 6 0 |
| 75.16 | 1.264 | 8 | 0 6 2 |
| 75.46 | 1.260 | 8 | 2 0 2 |
| 80.32 | 1.195 | 13 | 1 9 1 |
| 80.90 | 1.188 | 13 | 3 3 1 |



[4]
Simulated X-ray diffraction stick pattern of LaPrHg for λ = 1.5418 Å (Cu Kα), from a cell relaxed with GGA-PBE.
No peak broadening, texture or thermal motion is included.

Structure:
a = 3.8617 Å, b = 3.8617 Å, c = 12.9061 Å
α = 90.00°, β = 90.00°, γ = 90.00°
Space group I4mm (No. 107)
Unique sites:
La 0.0000 0.0000 0.0000 x2
Pr 0.0000 0.0000 0.6977 x2
Hg 0.0000 0.0000 0.3444 x2

Most intense lines, 10° ≤ 2θ ≤ 90°, low angle first:
| Position (°2θ) | d (Å) | Rel. int. | hkl |
| --- | --- | --- | --- |
| 13.72 | 6.453 | 9 | 0 0 2 |
| 31.12 | 2.874 | 100 | 1 0 3 |
| 32.80 | 2.731 | 46 | 1 1 0 |
| 42.00 | 2.151 | 9 | 0 0 6 |
| 42.11 | 2.146 | 7 | 1 0 5 |
| 47.06 | 1.931 | 17 | 2 0 0 |
| 54.29 | 1.690 | 18 | 1 1 6 |
| 57.50 | 1.603 | 35 | 2 1 3 |
| 64.92 | 1.436 | 15 | 2 0 6 |
| 78.29 | 1.221 | 8 | 3 1 0 |